Theoretical powder diffractogram of Ac3Pm4Te8 for Cu Kα, 1.54184 Å, from a DFT-relaxed cell (GGA-PBE, Alexandria).
Neutral-atom scattering factors, no anomalous dispersion.

Main lines, by angle (10° ≤ 2θ ≤ 90°):
27.5 deg, rel. 100
39.0 deg, rel. 13
39.3 deg, rel. 52
39.6 deg, rel. 13
48.4 deg, rel. 14
48.9 deg, rel. 14
56.8 deg, rel. 13
64.2 deg, rel. 24
70.8 deg, rel. 9
71.7 deg, rel. 9

Cell and atoms:
```
15
Lattice="6.485 -6.488 0.000 6.485 6.488 0.000 -6.383 0.000 6.486" Properties=species:S:1:pos:R:3 pbc="T T T"
Ac 0.000 0.000 0.000
Ac 0.051 3.244 3.243
Ac 0.051 -3.244 3.243
Pm 3.243 3.244 0.000
Pm 3.243 -3.244 0.000
Pm 6.485 0.000 0.000
Pm 3.294 0.000 3.243
Te 3.294 3.238 3.243
Te -3.072 0.000 6.484
Te 6.485 3.172 0.000
Te 0.065 0.000 3.318
Te 6.523 0.000 3.168
Te 6.485 -3.172 0.000
Te 9.659 0.000 0.002
Te 3.294 -3.238 3.243
```